Diffraction record for CsCeAuSe4. The powder diffractogram is calculated, not measured: it uses a DFT-relaxed cell (GGA-PBE, Alexandria) and a wavelength of 1.5418 Å.
No peak broadening, texture or thermal motion is included.

Largest 10 diffraction maxima, in order of rising 2θ, 10 to 90 degrees two-theta:
2θ (°)	intensity
17.9	72
24.2	61
29.2	100
30.3	73
31.3	61
33.7	40
34.5	43
39.7	53
40.2	55
47.3	41

Structure:
abc: 7.5700 5.7117 10.3986
angles: 90.00 107.22 90.00
Sites, in units of the cell vectors:
Cs 0.2322 0.2500 0.0419
Cs 0.7678 0.7500 0.9581
Ce 0.2774 0.2500 0.5498
Ce 0.7226 0.7500 0.4502
Au 0.2669 0.7500 0.3117
Au 0.7331 0.2500 0.6883
Se 0.0178 0.5266 0.6857
Se 0.0178 0.9734 0.6857
Se 0.4125 0.7500 0.5744
Se 0.4940 0.7500 0.1803
Se 0.5060 0.2500 0.8197
Se 0.5875 0.2500 0.4256
Se 0.9822 0.0266 0.3143
Se 0.9822 0.4734 0.3143

=====

Diffraction record for Pm2SmPb9. The powder diffractogram is calculated, not measured: it uses a DFT-relaxed cell (GGA-PBE, Alexandria) and a wavelength of 1.5418 Å.
No peak broadening, texture or thermal motion is included.

Largest 10 diffraction maxima, in order of rising 2θ, 10 to 90 degrees two-theta:
2θ (°)	intensity
18.1	1
25.6	1
31.5	100
36.6	51
52.7	36
62.7	43
65.8	13
77.7	6
86.3	19
89.1	18

Structure:
abc: 4.9137 4.9137 14.7437
angles: 90.00 90.00 90.00
Sites, in units of the cell vectors:
Pm 0.0000 0.0000 0.1668
Pm 0.0000 0.0000 0.8332
Sm 0.0000 0.0000 0.5000
Pb 0.0000 0.5000 0.0000
Pb 0.0000 0.5000 0.3339
Pb 0.0000 0.5000 0.6661
Pb 0.5000 0.0000 0.0000
Pb 0.5000 0.0000 0.3339
Pb 0.5000 0.0000 0.6661
Pb 0.5000 0.5000 0.1670
Pb 0.5000 0.5000 0.5000
Pb 0.5000 0.5000 0.8330

=====

Diffraction record for Mg3Hg10Pb. The powder diffractogram is calculated, not measured: it uses a DFT-relaxed cell (GGA-PBE, Alexandria) and a wavelength of 1.5418 Å.
No peak broadening, texture or thermal motion is included.

Largest 10 diffraction maxima, in order of rising 2θ, 10 to 90 degrees two-theta:
2θ (°)	intensity
27.6	26
30.3	23
32.2	100
35.1	22
36.8	43
37.3	20
53.8	28
58.1	17
63.0	23
88.4	20

Structure:
abc: 10.2222 10.2222 10.2222
angles: 60.00 60.00 60.00
Sites, in units of the cell vectors:
Mg 0.2165 0.2165 0.7835
Mg 0.2165 0.7835 0.2165
Mg 0.2165 0.7835 0.7835
Mg 0.7835 0.2165 0.2165
Mg 0.7835 0.2165 0.7835
Mg 0.7835 0.7835 0.2165
Hg 0.1287 0.1287 0.1287
Hg 0.1287 0.1287 0.6139
Hg 0.1287 0.6139 0.1287
Hg 0.1624 0.5000 0.5000
Hg 0.1624 0.5000 0.8376
Hg 0.1624 0.8376 0.5000
Hg 0.3861 0.8713 0.8713
Hg 0.5000 0.1624 0.5000
Hg 0.5000 0.1624 0.8376
Hg 0.5000 0.5000 0.1624
Hg 0.5000 0.5000 0.8376
Hg 0.5000 0.8376 0.1624
Hg 0.5000 0.8376 0.5000
Hg 0.6139 0.1287 0.1287
Hg 0.8376 0.1624 0.5000
Hg 0.8376 0.5000 0.1624
Hg 0.8376 0.5000 0.5000
Hg 0.8713 0.3861 0.8713
Hg 0.8713 0.8713 0.3861
Hg 0.8713 0.8713 0.8713
Pb 0.2500 0.2500 0.2500
Pb 0.7500 0.7500 0.7500

=====

Diffraction record for TeIO. The powder diffractogram is calculated, not measured: it uses a DFT-relaxed cell (GGA-PBE, Alexandria) and a wavelength of 1.5418 Å.
No peak broadening, texture or thermal motion is included.

Largest 10 diffraction maxima, in order of rising 2θ, 10 to 90 degrees two-theta:
2θ (°)	intensity
23.0	27
23.4	33
26.1	100
27.2	59
27.4	58
36.5	31
36.8	41
38.5	19
39.3	23
39.5	23

Structure:
abc: 4.3687 4.9285 9.8309
angles: 89.59 77.49 63.70
Sites, in units of the cell vectors:
Te 0.0000 0.0000 0.0000
Te 0.1481 0.4990 0.2103
I 0.2290 0.9116 0.4078
I 0.6858 0.5874 0.8025
O 0.3189 0.1470 0.0504
O 0.6630 0.3522 0.1598

=====

Diffraction record for AgSb2F12. The powder diffractogram is calculated, not measured: it uses a DFT-relaxed cell (GGA-PBE, Alexandria) and a wavelength of 1.5418 Å.
No peak broadening, texture or thermal motion is included.

Largest 10 diffraction maxima, in order of rising 2θ, 10 to 90 degrees two-theta:
2θ (°)	intensity
10.2	35
18.1	52
20.4	39
21.6	100
23.3	83
23.5	79
30.4	36
30.8	45
32.3	29
41.6	28

Structure:
abc: 5.4162 5.5974 9.0124
angles: 75.83 88.74 65.18
Sites, in units of the cell vectors:
Ag 0.0000 0.0000 0.0000
Sb 0.2314 0.5115 0.7353
Sb 0.7686 0.4885 0.2647
F 0.1483 0.2725 0.2717
F 0.1939 0.2686 0.6346
F 0.1955 0.2715 0.9335
F 0.2748 0.7262 0.8728
F 0.2920 0.7408 0.5627
F 0.3838 0.7069 0.2098
F 0.6162 0.2931 0.7902
F 0.7080 0.2592 0.4373
F 0.7252 0.2738 0.1272
F 0.8045 0.7285 0.0665
F 0.8061 0.7314 0.3654
F 0.8517 0.7275 0.7283

=====

Diffraction record for TbDyGaRh. The powder diffractogram is calculated, not measured: it uses a DFT-relaxed cell (GGA-PBE, Alexandria) and a wavelength of 1.5418 Å.
No peak broadening, texture or thermal motion is included.

Largest 10 diffraction maxima, in order of rising 2θ, 10 to 90 degrees two-theta:
2θ (°)	intensity
26.7	20
31.9	100
33.5	24
33.8	39
39.8	23
40.0	51
42.4	26
45.7	21
55.2	19
81.1	15

Structure:
abc: 4.2682 5.7016 5.7016
angles: 40.76 90.00 90.00
Sites, in units of the cell vectors:
Tb 0.0000 0.0000 0.0000
Dy 0.5000 0.7167 0.7167
Ga 0.5000 0.4269 0.4269
Rh 0.0000 0.2789 0.2789

=====

Diffraction record for K2Hg13. The powder diffractogram is calculated, not measured: it uses a DFT-relaxed cell (GGA-PBE, Alexandria) and a wavelength of 1.5418 Å.
No peak broadening, texture or thermal motion is included.

Largest 10 diffraction maxima, in order of rising 2θ, 10 to 90 degrees two-theta:
2θ (°)	intensity
15.0	34
19.3	48
28.9	32
30.0	44
31.5	100
34.7	55
40.0	29
40.9	93
53.1	48
64.9	30

Structure:
abc: 12.6555 12.6555 12.6555
angles: 31.64 31.64 31.64
Sites, in units of the cell vectors:
K 0.1966 0.1966 0.1966
K 0.8034 0.8034 0.8034
Hg 0.0200 0.5523 0.5523
Hg 0.1990 0.7428 0.7428
Hg 0.2572 0.2572 0.8010
Hg 0.2572 0.8010 0.2572
Hg 0.4477 0.4477 0.9800
Hg 0.4477 0.9800 0.4477
Hg 0.5000 0.5000 0.5000
Hg 0.5523 0.0200 0.5523
Hg 0.5523 0.5523 0.0200
Hg 0.7428 0.1990 0.7428
Hg 0.7428 0.7428 0.1990
Hg 0.8010 0.2572 0.2572
Hg 0.9800 0.4477 0.4477

=====

Diffraction record for KICl2O. The powder diffractogram is calculated, not measured: it uses a DFT-relaxed cell (GGA-PBE, Alexandria) and a wavelength of 1.5418 Å.
No peak broadening, texture or thermal motion is included.

Largest 10 diffraction maxima, in order of rising 2θ, 10 to 90 degrees two-theta:
2θ (°)	intensity
11.0	85
17.4	82
18.9	99
23.5	41
26.0	37
30.3	100
33.5	45
39.1	55
45.5	44
51.9	35

Structure:
abc: 5.1662 7.5790 8.1485
angles: 90.00 100.33 90.00
Sites, in units of the cell vectors:
K 0.2466 0.2500 0.3633
K 0.7534 0.7500 0.6367
I 0.5000 0.0000 0.0000
I 0.5000 0.5000 0.0000
Cl 0.2609 0.0019 0.6899
Cl 0.2609 0.4981 0.6899
Cl 0.7391 0.5019 0.3101
Cl 0.7391 0.9981 0.3101
O 0.3434 0.2500 0.0433
O 0.6566 0.7500 0.9567

=====

Diffraction record for Ac12Ag6Pt. The powder diffractogram is calculated, not measured: it uses a DFT-relaxed cell (GGA-PBE, Alexandria) and a wavelength of 1.5418 Å.
No peak broadening, texture or thermal motion is included.

Largest 10 diffraction maxima, in order of rising 2θ, 10 to 90 degrees two-theta:
2θ (°)	intensity
20.6	37
23.6	79
25.6	24
27.7	49
29.9	100
33.2	68
34.1	65
35.1	30
47.9	23
48.5	33

Structure:
abc: 9.1902 9.1902 9.1902
angles: 98.41 98.41 98.41
Sites, in units of the cell vectors:
Ac 0.0265 0.9171 0.6801
Ac 0.0829 0.3199 0.9735
Ac 0.1911 0.5630 0.4139
Ac 0.3199 0.9735 0.0829
Ac 0.4139 0.1911 0.5630
Ac 0.4370 0.5861 0.8089
Ac 0.5630 0.4139 0.1911
Ac 0.5861 0.8089 0.4370
Ac 0.6801 0.0265 0.9171
Ac 0.8089 0.4370 0.5861
Ac 0.9171 0.6801 0.0265
Ac 0.9735 0.0829 0.3199
Ag 0.1265 0.3146 0.6357
Ag 0.3146 0.6357 0.1265
Ag 0.3643 0.8735 0.6854
Ag 0.6357 0.1265 0.3146
Ag 0.6854 0.3643 0.8735
Ag 0.8735 0.6854 0.3643
Pt 0.0000 0.0000 0.0000

=====

Diffraction record for Ta6Nb3Au. The powder diffractogram is calculated, not measured: it uses a DFT-relaxed cell (GGA-PBE, Alexandria) and a wavelength of 1.5418 Å.
No peak broadening, texture or thermal motion is included.

Largest 10 diffraction maxima, in order of rising 2θ, 10 to 90 degrees two-theta:
2θ (°)	intensity
37.9	54
38.3	50
38.5	100
38.8	99
54.9	35
68.8	18
69.0	18
69.2	16
69.7	17
70.2	25

Structure:
abc: 8.0536 4.7528 9.9254
angles: 90.00 107.15 90.00
Sites, in units of the cell vectors:
Ta 0.0427 0.2500 0.3950
Ta 0.1332 0.7500 0.1990
Ta 0.2555 0.2500 0.9988
Ta 0.3459 0.2500 0.2996
Ta 0.3527 0.7500 0.8048
Ta 0.4482 0.2500 0.5908
Ta 0.5518 0.7500 0.4092
Ta 0.6473 0.2500 0.1952
Ta 0.6541 0.7500 0.7004
Ta 0.7445 0.7500 0.0012
Ta 0.8668 0.2500 0.8010
Ta 0.9573 0.7500 0.6050
Nb 0.0539 0.7500 0.9026
Nb 0.1591 0.2500 0.7020
Nb 0.2524 0.7500 0.5019
Nb 0.7476 0.2500 0.4981
Nb 0.8409 0.7500 0.2980
Nb 0.9461 0.2500 0.0974
Au 0.4395 0.7500 0.1151
Au 0.5605 0.2500 0.8849

=====

Diffraction record for LaZn2InNi. The powder diffractogram is calculated, not measured: it uses a DFT-relaxed cell (GGA-PBE, Alexandria) and a wavelength of 1.5418 Å.
No peak broadening, texture or thermal motion is included.

Largest 10 diffraction maxima, in order of rising 2θ, 10 to 90 degrees two-theta:
2θ (°)	intensity
26.4	12
26.8	24
32.6	100
37.0	34
38.3	63
54.3	44
55.2	21
64.0	14
65.6	26
68.3	21

Structure:
abc: 4.7059 4.7059 4.8563
angles: 90.00 90.00 90.00
Sites, in units of the cell vectors:
La 0.0000 0.0000 0.0000
Zn 0.0000 0.5000 0.5000
Zn 0.5000 0.0000 0.5000
In 0.5000 0.5000 0.0000
Ni 0.5000 0.5000 0.5000

=====

Diffraction record for KI. The powder diffractogram is calculated, not measured: it uses a DFT-relaxed cell (GGA-PBE, Alexandria) and a wavelength of 1.5418 Å.
No peak broadening, texture or thermal motion is included.

Largest 10 diffraction maxima, in order of rising 2θ, 10 to 90 degrees two-theta:
2θ (°)	intensity
10.4	100
20.8	95
23.5	77
25.2	51
29.8	46
31.7	42
34.7	54
39.4	42
40.9	41
42.6	35

Structure:
abc: 9.1794 9.1794 9.1794
angles: 98.54 98.54 134.66
Sites, in units of the cell vectors:
K 0.1427 0.6478 0.7905
K 0.3522 0.1427 0.4950
K 0.6478 0.8573 0.5050
K 0.8573 0.3522 0.2095
I 0.1514 0.3539 0.5052
I 0.3539 0.8486 0.2025
I 0.6461 0.1514 0.7975
I 0.8486 0.6461 0.4948

=====

Diffraction record for RhSeBr. The powder diffractogram is calculated, not measured: it uses a DFT-relaxed cell (GGA-PBE, Alexandria) and a wavelength of 1.5418 Å.
No peak broadening, texture or thermal motion is included.

Largest 10 diffraction maxima, in order of rising 2θ, 10 to 90 degrees two-theta:
2θ (°)	intensity
13.5	86
31.6	100
39.8	66
50.4	34
51.0	32
52.4	15
60.7	15
66.1	14
82.7	12
87.5	14

Structure:
abc: 3.6213 3.6213 6.5389
angles: 90.00 90.00 120.00
Sites, in units of the cell vectors:
Rh 0.0000 0.0000 0.0000
Se 0.6667 0.3333 0.1946
Br 0.3333 0.6667 0.7521